No. 1
For BC3, a cell relaxed with PBE gives the calculated powder diffraction line list in this record (Cu Kα (λ = 1.5418 Å)).
Neutral-atom scattering factors, no anomalous dispersion.

Most intense lines, 2θ from 15° to 90°, low angle first:
d [Å]  2θ (°)  I_rel  (hkl)
2.598  34.53  1  0 0 3
2.397  37.52  1  1 0 1
2.115  42.74  100  1 0 2
1.808  50.47  2  1 0 3
1.469  63.31  1  1 1 3
1.325  71.13  1  1 0 5
1.315  71.81  26  1 1 4
1.260  75.48  12  2 0 0
1.173  82.18  1  1 1 5
1.154  83.80  8  1 0 6

Atomic structure:
Cell: 2.519 2.519 7.793 Å, 90.00 90.00 90.00°
Space group P-4m2 (No. 115)
Symmetry-distinct sites (fractional):
B  0.000  0.500  0.131 [2 per cell]
C  0.000  0.000  0.272 [2 per cell]
C  0.000  0.500  0.617 [2 per cell]
C  0.500  0.500  0.000 [1 per cell]
C  0.500  0.500  0.500 [1 per cell]

No. 2
For Th4TlPt2, a cell relaxed with PBE gives the calculated powder diffraction line list in this record (Cu Kα (λ = 1.5418 Å)).
Neutral-atom scattering factors, no anomalous dispersion.

Most intense lines, 2θ from 15° to 90°, low angle first:
d [Å]  2θ (°)  I_rel  (hkl)
3.765  23.63  12  1 0 1
3.517  25.32  15  1 0 4
3.390  26.29  45  0 1 5
2.687  33.34  100  1 0 10
2.558  35.09  16  0 1 11
2.184  41.34  63  1 1 0
1.704  53.79  19  0 1 20
1.695  54.11  26  0 2 10
1.397  66.97  12  1 1 21
1.339  70.30  24  2 1 10

Atomic structure:
Cell: 4.3682 4.3682 38.1807 Å, 90.00 90.00 120.00°
Space group R-3m (No. 166, hexagonal axes)
Symmetry-distinct sites (fractional):
Th  0.0000  0.0000  0.1093 [6 per cell]
Th  0.0000  0.0000  0.3017 [6 per cell]
Tl  0.0000  0.0000  0.5000 [3 per cell]
Pt  0.0000  0.0000  0.4027 [6 per cell]